This entry pairs a crystal structure of DyY4ScS8 with its computed XRD peak list. Radiation: copper Kα. Structure: a DFT-relaxed cell (PBE, Alexandria).

Structural model:
```
DyY4ScS8
1.0
3.9935 2.3057 6.5207
-3.9935 2.3057 6.5207
0.0000 -4.6113 6.5207
Dy Y Sc S
1 4 1 8
Direct
0.0000 0.0000 0.0000 Dy
0.9999 0.9999 0.5130 Y
0.9999 0.5130 0.9999 Y
0.3783 0.3783 0.3783 Y
0.5130 0.9999 0.9999 Y
0.6281 0.6281 0.6281 Sc
0.2441 0.2441 0.7794 S
0.2441 0.7794 0.2441 S
0.2446 0.2446 0.2446 S
0.2463 0.7559 0.7559 S
0.7553 0.7553 0.7553 S
0.7559 0.2463 0.7559 S
0.7559 0.7559 0.2463 S
0.7794 0.2441 0.2441 S
```

Main lines, most intense first (2θ = 10–80°):
2theta	d [Å]	Rel. int.
26.2	3.406	100
45.4	1.997	73
31.7	2.824	48
41.5	2.174	44
13.6	6.521	34
63.2	1.470	22
22.3	3.993	18
75.2	1.263	14
53.2	1.722	13
72.5	1.304	13
66.2	1.412	11
56.4	1.630	11



This entry pairs a crystal structure of DyHo5TmTh2 with its computed XRD peak list. Radiation: copper Kα. Structure: a DFT-relaxed cell (PBE, Alexandria).

Structural model:
```
DyHo5TmTh2
1.0
-4.3508 4.3508 7.7302
4.3508 -4.3508 7.7302
4.3508 4.3508 -7.7302
Dy Ho Tm Th
2 10 2 4
Direct
0.2500 0.2500 0.0000 Dy
0.7500 0.7500 0.0000 Dy
0.0000 0.0000 0.0000 Ho
0.0706 0.5706 0.9220 Ho
0.1486 0.0706 0.5000 Ho
0.3514 0.8514 0.9220 Ho
0.4294 0.3514 0.5000 Ho
0.5000 0.5000 0.0000 Ho
0.5706 0.6486 0.5000 Ho
0.6486 0.1486 0.0780 Ho
0.8514 0.9294 0.5000 Ho
0.9294 0.4294 0.0780 Ho
0.2500 0.7500 0.5000 Tm
0.7500 0.2500 0.5000 Tm
0.1197 0.3803 0.5000 Th
0.3803 0.8803 0.2606 Th
0.6197 0.1197 0.7394 Th
0.8803 0.6197 0.5000 Th
```

Main lines, most intense first (2θ = 10–80°):
2theta	d [Å]	Rel. int.
30.9	2.890	100
28.7	3.106	70
29.0	3.076	53
43.2	2.093	27
37.7	2.384	26
52.7	1.738	24
32.5	2.752	17
37.1	2.421	17
34.6	2.592	17
47.0	1.933	14
56.2	1.636	12
65.5	1.424	11